(1)
This entry pairs a crystal structure of SrMg2Te with its theoretical powder diffractogram. Radiation: copper Kα. Structure: a structure optimized by DFT (PBE).

Peak list (10 most intense, 5° ≤ 2θ ≤ 70°, by intensity)
(hkl), two_theta, Rel. int.
1 1 0, 30.11, 100
0 0 1, 12.76, 76
0 1 2, 33.43, 52
1 0 -2, 28.08, 41
1 1 -2, 35.35, 35
1 0 2, 38.43, 27
0 1 1, 24.67, 19
2 0 -1, 41.28, 17
1 0 -1, 21.30, 17
0 2 0, 42.81, 16

Structural model:
a b c (Å): 4.374 4.225 7.267
angles (deg): 90.00 107.37 90.00
Space group Pm (No. 6)
Symmetry-distinct sites (fractional):
1 Sr 0.000 0.000 0.000 (multiplicity 1)
2 Mg 0.244 0.000 0.493 (multiplicity 1)
3 Mg 0.667 0.500 0.338 (multiplicity 1)
4 Te 0.406 0.500 0.811 (multiplicity 1)

(2)
This entry pairs a crystal structure of Sr3MgTi with its theoretical powder diffractogram. Radiation: copper Kα. Structure: a structure optimized by DFT (PBE).

Peak list (10 most intense, 5° ≤ 2θ ≤ 70°, by intensity)
(hkl), two_theta, Rel. int.
2 0 0, 28.68, 100
1 1 1, 24.77, 99
2 2 0, 41.01, 75
1 0 0, 14.23, 57
3 1 1, 48.50, 48
4 2 0, 67.26, 33
2 1 0, 32.15, 31
2 2 2, 50.81, 26
3 3 1, 65.34, 20
3 0 0, 43.62, 16

Structural model:
a b c (Å): 6.225 6.225 6.225
angles (deg): 90.00 90.00 90.00
Space group Pm-3m (No. 221)
Symmetry-distinct sites (fractional):
1 Sr 0.000 0.000 0.500 (multiplicity 3)
2 Mg 0.500 0.500 0.500 (multiplicity 1)
3 Ti 0.000 0.000 0.000 (multiplicity 1)

(3)
This entry pairs a crystal structure of Sr2Mg5Tl3 with its theoretical powder diffractogram. Radiation: copper Kα. Structure: a structure optimized by DFT (PBE).

Peak list (10 most intense, 5° ≤ 2θ ≤ 70°, by intensity)
(hkl), two_theta, Rel. int.
1 3 2, 30.56, 100
0 6 1, 21.56, 99
1 3 1, 23.21, 79
1 7 1, 30.41, 63
2 0 0, 36.45, 53
0 2 2, 23.50, 44
1 9 2, 40.61, 40
1 3 3, 40.14, 30
0 4 2, 25.83, 29
0 10 1, 32.96, 26

Structural model:
a b c (Å): 4.930 28.986 7.843
angles (deg): 90.00 90.00 90.00
Space group Cmc2_1 (No. 36)
Symmetry-distinct sites (fractional):
1 Sr 0.000 0.017 0.000 (multiplicity 4)
2 Sr 0.000 0.325 0.029 (multiplicity 4)
3 Mg 0.000 0.102 0.334 (multiplicity 4)
4 Mg 0.000 0.204 0.219 (multiplicity 4)
5 Mg 0.000 0.207 0.832 (multiplicity 4)
6 Mg 0.000 0.373 0.519 (multiplicity 4)
7 Mg 0.000 0.444 0.180 (multiplicity 4)
8 Tl 0.000 0.110 0.734 (multiplicity 4)
9 Tl 0.000 0.268 0.526 (multiplicity 4)
10 Tl 0.000 0.452 0.788 (multiplicity 4)

(4)
This entry pairs a crystal structure of Sr2Mg3Tl4 with its theoretical powder diffractogram. Radiation: copper Kα. Structure: a structure optimized by DFT (PBE).

Peak list (10 most intense, 5° ≤ 2θ ≤ 70°, by intensity)
(hkl), two_theta, Rel. int.
2 0 2, 33.71, 100
0 2 2, 22.32, 98
1 5 1, 30.12, 63
1 3 1, 22.41, 48
2 2 1, 30.44, 45
0 2 3, 31.85, 37
0 0 4, 40.67, 32
2 2 0, 28.69, 30
0 6 2, 36.31, 28
1 3 3, 36.48, 28

Structural model:
a b c (Å): 6.638 17.880 8.878
angles (deg): 90.00 90.00 90.00
Space group Cmce (No. 64)
Symmetry-distinct sites (fractional):
1 Sr 0.000 0.108 0.093 (multiplicity 8)
2 Mg 0.000 0.000 0.500 (multiplicity 4)
3 Mg 0.250 0.225 0.750 (multiplicity 8)
4 Tl 0.000 0.179 0.480 (multiplicity 8)
5 Tl 0.250 0.056 0.750 (multiplicity 8)

(5)
This entry pairs a crystal structure of SrMg4Tl2 with its theoretical powder diffractogram. Radiation: copper Kα. Structure: a structure optimized by DFT (PBE).

Peak list (10 most intense, 5° ≤ 2θ ≤ 70°, by intensity)
(hkl), two_theta, Rel. int.
1 1 1, 23.38, 100
3 1 1, 37.07, 75
2 0 0, 19.95, 48
2 2 0, 28.36, 47
2 1 1, 29.21, 38
3 0 1, 35.62, 24
0 0 2, 37.67, 23
2 2 2, 47.82, 23
4 1 0, 41.85, 22
5 2 1, 59.15, 22

Structural model:
a b c (Å): 8.901 8.901 4.776
angles (deg): 90.00 90.00 90.00
Space group P4_2/mnm (No. 136)
Symmetry-distinct sites (fractional):
1 Sr 0.000 0.000 0.000 (multiplicity 2)
2 Mg 0.092 0.347 0.500 (multiplicity 8)
3 Tl 0.217 0.783 0.500 (multiplicity 4)

(6)
This entry pairs a crystal structure of SrMg7Tl12 with its theoretical powder diffractogram. Radiation: copper Kα. Structure: a structure optimized by DFT (PBE).

Peak list (10 most intense, 5° ≤ 2θ ≤ 70°, by intensity)
(hkl), two_theta, Rel. int.
3 0 1, 25.93, 100
4 0 2, 36.99, 74
3 1 2, 30.78, 69
2 2 2, 28.45, 40
1 1 0, 11.52, 37
5 2 3, 51.86, 35
5 3 0, 48.87, 34
3 3 2, 38.87, 34
2 1 1, 20.01, 30
6 4 2, 64.12, 30

Structural model:
a b c (Å): 10.868 10.868 10.868
angles (deg): 90.00 90.00 90.00
Space group Im-3 (No. 204)
Symmetry-distinct sites (fractional):
1 Sr 0.000 0.000 0.000 (multiplicity 2)
2 Mg 0.000 0.000 0.500 (multiplicity 6)
3 Mg 0.250 0.250 0.250 (multiplicity 8)
4 Tl 0.000 0.338 0.228 (multiplicity 24)